# 1
Structure and computed powder diffraction line list of La5Sn4O (a crystal structure in Alexandria, relaxed with GGA-PBE; CuKα).
Lines closer than 0.1° are merged.

Structure:
Unit cell a=9.8115 b=9.8115 c=6.5032 alpha=90.00 beta=90.00 gamma=90.00
Space group I4 (No. 79)
Asymmetric unit:
La1 0.0000 0.0000 0.0000 (multiplicity 2)
La2 0.1002 0.7461 0.5624 (multiplicity 8)
Sn1 0.0743 0.6816 0.0677 (multiplicity 8)
O1 0.0000 0.0000 0.6387 (multiplicity 2)

Top 10 peaks for 2θ = 15–90°, most intense first:
| 2θ (°) | intensity |
| --- | --- |
| 28.8 | 1000 |
| 40.2 | 780 |
| 27.4 | 634 |
| 35.8 | 313 |
| 30.6 | 303 |
| 50.2 | 269 |
| 41.1 | 262 |
| 59.0 | 206 |
| 64.7 | 174 |
| 62.2 | 163 |

# 2
Structure and computed powder diffraction line list of La2SnO5 (a crystal structure in Alexandria, relaxed with GGA-PBE; CuKα).
Lines closer than 0.1° are merged.

Structure:
Unit cell a=7.7938 b=3.9161 c=16.5328 alpha=90.00 beta=90.00 gamma=90.00
Space group Pnma (No. 62)
Asymmetric unit:
La1 0.1229 0.2500 0.0821 (multiplicity 4)
La2 0.1327 0.2500 0.7455 (multiplicity 4)
Sn1 0.1204 0.2500 0.4279 (multiplicity 4)
O1 0.0868 0.7500 0.6513 (multiplicity 4)
O2 0.0903 0.7500 0.4682 (multiplicity 4)
O3 0.1098 0.7500 0.1725 (multiplicity 4)
O4 0.1514 0.7500 0.9961 (multiplicity 4)
O5 0.2142 0.7500 0.8287 (multiplicity 4)

Top 10 peaks for 2θ = 15–90°, most intense first:
| 2θ (°) | intensity |
| --- | --- |
| 28.0 | 1000 |
| 46.6 | 381 |
| 32.4 | 342 |
| 55.2 | 283 |
| 55.1 | 154 |
| 46.4 | 92 |
| 75.1 | 81 |
| 77.4 | 65 |
| 86.5 | 59 |
| 75.0 | 55 |